Calculated powder diffraction line list
Compound: K2GeBi
Radiation: a wavelength of 1.5418 Å
Structure: a DFT-relaxed cell (GGA-PBE, Alexandria)
Kinematic intensities with the Lorentz-polarization factor, no thermal factor.

Top 10 peaks for 2θ = 15–90°, by angle:
Position (°2θ)	I/Imax	index
17.15	72	2 0 0
25.85	59	3 0 0
27.77	69	1 2 -1
27.94	49	1 1 2
30.57	87	2 2 -1
31.37	65	1 1 -3
33.23	100	4 0 -2
33.78	64	2 1 2
34.69	50	4 0 0
35.42	53	3 2 -1

Structural model:
Lattice parameters (Å, degrees): 11.1024 6.9592 9.4148 90.00 111.34 90.00
Space group P2_1/c (No. 14)
Inequivalent atoms, fractional coordinates:
K: 0.1842 0.2296 0.1138 x4
K: 0.2400 0.7285 0.3293 x4
Ge: 0.4153 0.1298 0.4864 x4
Bi: 0.4811 0.5813 0.6750 x4

Calculated powder diffraction line list
Compound: K2Ge2BiO6
Radiation: a wavelength of 1.5418 Å
Structure: a DFT-relaxed cell (GGA-PBE, Alexandria)
Kinematic intensities with the Lorentz-polarization factor, no thermal factor.

Top 10 peaks for 2θ = 15–90°, by angle:
Position (°2θ)	I/Imax	index
19.50	88	1 1 -1
19.87	68	2 0 0
26.14	46	1 1 1
29.34	53	0 2 0
29.72	100	3 1 -1
29.95	100	1 1 -2
30.39	22	2 0 1
39.60	22	2 2 -2
42.72	40	2 2 1
55.42	22	3 1 2

Structural model:
Lattice parameters (Å, degrees): 10.3703 6.0887 6.9784 90.00 120.51 90.00
Space group C2/m (No. 12)
Inequivalent atoms, fractional coordinates:
K: 0.2052 0.0000 0.1732 x4
Ge: 0.0492 0.5000 0.2118 x4
Bi: 0.0000 0.0000 0.5000 x2
O: 0.0387 0.2567 0.7722 x8
O: 0.2443 0.5000 0.3710 x4

Repeat the second record exactly.
Calculated powder diffraction line list
Compound: K2Ge2BiO6
Radiation: a wavelength of 1.5418 Å
Structure: a DFT-relaxed cell (GGA-PBE, Alexandria)
Kinematic intensities with the Lorentz-polarization factor, no thermal factor.

Top 10 peaks for 2θ = 15–90°, by angle:
Position (°2θ)	I/Imax	index
19.50	88	1 1 -1
19.87	68	2 0 0
26.14	46	1 1 1
29.34	53	0 2 0
29.72	100	3 1 -1
29.95	100	1 1 -2
30.39	22	2 0 1
39.60	22	2 2 -2
42.72	40	2 2 1
55.42	22	3 1 2

Structural model:
Lattice parameters (Å, degrees): 10.3703 6.0887 6.9784 90.00 120.51 90.00
Space group C2/m (No. 12)
Inequivalent atoms, fractional coordinates:
K: 0.2052 0.0000 0.1732 x4
Ge: 0.0492 0.5000 0.2118 x4
Bi: 0.0000 0.0000 0.5000 x2
O: 0.0387 0.2567 0.7722 x8
O: 0.2443 0.5000 0.3710 x4